Structure and calculated PXRD pattern of Li7Ni11O22 (the PBE+U geometry in Alexandria; copper Kα).

Principal peaks in the range 2θ = 15–90°, sorted by position:
- 18.30°, I = 100, (0 1 -2)
- 36.31°, I = 13, (1 2 1)
- 36.73°, I = 12, (1 -3 0)
- 36.92°, I = 11, (2 0 -1)
- 37.10°, I = 5, (0 2 -4)
- 43.75°, I = 19, (1 1 3)
- 44.30°, I = 37, (2 1 -3)
- 47.99°, I = 8, (-1 1 4)
- 64.37°, I = 5, (0 5 1)
- 64.86°, I = 5, (3 2 0)

Structure:
```
Li7Ni11O22
1.0
4.937 0.000 0.000
-0.727 8.684 0.000
-0.836 -4.158 8.886
Li Ni O
7 11 22
Cartesian
0.000 0.000 0.000
-0.029 2.331 1.659
0.779 -1.517 4.789
0.987 0.941 6.391
2.388 3.585 2.494
2.595 6.044 4.096
3.403 2.195 7.227
-0.781 2.263 4.443
-0.756 4.669 6.042
0.037 -1.625 7.662
0.879 4.927 0.400
0.904 7.366 1.966
1.687 1.021 3.631
1.687 3.505 5.254
2.470 -2.839 6.919
2.496 -0.401 8.486
3.337 6.152 1.223
4.130 -0.143 2.844
-0.787 6.842 2.938
-0.820 0.228 7.701
0.069 6.629 0.313
0.107 0.368 4.443
0.696 0.400 1.887
0.021 2.902 6.033
0.737 -3.442 7.667
0.855 2.699 3.490
0.871 5.250 5.226
1.742 3.262 0.501
1.703 5.490 2.011
1.671 -0.963 6.874
1.632 1.264 8.385
2.503 -0.724 3.660
2.519 1.828 5.396
2.637 7.968 1.219
3.354 1.625 2.853
2.679 4.127 6.999
3.267 4.159 4.443
3.306 -2.103 8.572
4.195 4.299 1.184
4.161 -2.316 5.947
```